Calculated XRD peak list of Tl3CdCl4 for copper Kα, from DFT lattice parameters and positions (PBE).

Top 6 peaks for 2θ = 15–90°, in order of rising 2θ:
d_spacing  I_rel
3.686  100
3.202  41
3.188  82
2.257  93
1.923  36
1.843  33

Cell and atoms:
```
data_Tl3CdCl4
_symmetry_space_group_name_H-M 'I 4/m m m'
_symmetry_Int_Tables_number 139
_symmetry_space_group_name_Hall '-I 4 2'
_cell_length_a 6.3755
_cell_length_b 6.3755
_cell_length_c 12.8078
_cell_angle_alpha 90.00
_cell_angle_beta 90.00
_cell_angle_gamma 90.00
loop_
_atom_site_label
_atom_site_type_symbol
_atom_site_fract_x
_atom_site_fract_y
_atom_site_fract_z
Tl1 Tl 0.0000 0.0000 0.0000
Tl2 Tl 0.0000 0.5000 0.2500
Cd1 Cd 0.0000 0.0000 0.5000
Cl1 Cl 0.0000 0.0000 0.2623
Cl2 Cl 0.0000 0.5000 0.0000
```